# 1
# Pm2In3Au4
Theoretical powder X-ray diffraction pattern, Cu Kα X-rays. Input: a crystal structure in Alexandria, relaxed with PBE.

Structure:
Cell lengths 6.184, 16.726, 8.076 Å; angles 90.00, 90.00, 90.00 degrees
Space group Cmce (No. 64)
Asymmetric unit:
Pm 0.000 0.104 0.093 x8
In 0.000 0.000 0.500 x4
In 0.250 0.228 0.750 x8
Au 0.000 0.172 0.464 x8
Au 0.250 0.058 0.750 x8

Principal peaks in the range 2θ = 10–80°, sorted by position:
Position (°2θ)	I (rel.)	(hkl)
32.38	68	1 5 1
32.81	56	2 2 1
34.02	29	0 6 1
35.02	50	0 2 3
36.13	20	2 4 0
36.60	100	2 0 2
39.27	33	0 6 2
43.72	19	2 6 0
59.83	21	4 0 0
64.46	20	2 6 4

=====

# 2
# PmIn3Au3
Theoretical powder X-ray diffraction pattern, Cu Kα X-rays. Input: a crystal structure in Alexandria, relaxed with PBE.

Structure:
Cell lengths 7.992, 4.866, 8.841 Å; angles 90.00, 108.30, 90.00 degrees
Space group P2_1/m (No. 11)
Asymmetric unit:
Pm 0.129 0.250 0.290 x2
In 0.219 0.250 0.699 x2
In 0.292 0.750 0.023 x2
In 0.476 0.750 0.763 x2
Au 0.053 0.250 0.929 x2
Au 0.138 0.750 0.507 x2
Au 0.428 0.750 0.378 x2

Principal peaks in the range 2θ = 10–80°, sorted by position:
Position (°2θ)	I (rel.)	(hkl)
29.86	30	2 1 0
33.05	100	1 1 2
33.29	18	2 0 -3
33.65	29	3 0 -1
36.95	75	0 2 0
37.07	33	0 1 3
38.22	88	2 1 -3
38.53	50	3 1 -1
50.83	18	3 2 -1
61.61	17	3 2 2

=====

# 3
# PmSc2InAu4
Theoretical powder X-ray diffraction pattern, Cu Kα X-rays. Input: a crystal structure in Alexandria, relaxed with PBE.

Structure:
Cell lengths 4.7611, 4.7611, 26.4014 Å; angles 90.00, 90.00, 120.00 degrees
Space group R-3m (No. 166, hexagonal axes)
Asymmetric unit:
Pm 0.0000 0.0000 0.0000 x3
Sc 0.0000 0.0000 0.2393 x6
In 0.0000 0.0000 0.5000 x3
Au 0.0000 0.0000 0.1192 x6
Au 0.0000 0.0000 0.3898 x6

Principal peaks in the range 2θ = 10–80°, sorted by position:
Position (°2θ)	I (rel.)	(hkl)
22.59	21	0 1 2
25.47	34	1 0 4
34.82	97	0 1 8
37.79	100	1 1 0
40.57	27	1 0 10
52.32	30	2 0 8
66.33	30	1 2 8
68.24	18	3 0 0
70.12	11	2 1 10
76.25	15	1 1 18

=====

# 4
# PrInAu6
Theoretical powder X-ray diffraction pattern, Cu Kα X-rays. Input: a crystal structure in Alexandria, relaxed with PBE.

Structure:
Cell lengths 4.590, 6.685, 5.472 Å; angles 90.00, 90.00, 90.00 degrees
Space group Pmm2 (No. 25)
Asymmetric unit:
Pr 0.000 0.000 0.000 x1
In 0.500 0.500 0.308 x1
Au 0.000 0.268 0.489 x2
Au 0.000 0.500 0.996 x1
Au 0.500 0.000 0.424 x1
Au 0.500 0.283 0.820 x2

Principal peaks in the range 2θ = 10–80°, sorted by position:
Position (°2θ)	I (rel.)	(hkl)
31.36	19	0 2 1
32.73	14	0 0 2
37.11	100	1 2 1
38.30	35	1 0 2
39.26	30	2 0 0
51.08	10	2 2 1
57.57	14	0 2 3
68.94	9	1 4 2
69.75	17	3 2 1
71.90	13	2 2 3

=====

# 5
# Pr3In2Au2
Theoretical powder X-ray diffraction pattern, Cu Kα X-rays. Input: a crystal structure in Alexandria, relaxed with PBE.

Structure:
Cell lengths 4.584, 22.507, 3.690 Å; angles 90.00, 90.00, 90.00 degrees
Space group Cmmm (No. 65)
Asymmetric unit:
Pr 0.000 0.000 0.000 x2
Pr 0.000 0.165 0.000 x4
In 0.000 0.421 0.500 x4
Au 0.000 0.288 0.500 x4

Principal peaks in the range 2θ = 10–80°, sorted by position:
Position (°2θ)	I (rel.)	(hkl)
31.37	63	1 1 1
33.38	23	1 3 1
34.07	100	1 7 0
37.11	24	1 5 1
39.31	28	2 0 0
42.17	8	1 7 1
49.39	15	0 0 2
52.99	21	2 6 1
61.36	23	1 7 2
64.87	13	2 0 2

=====

# 6
# PrIn4Au
Theoretical powder X-ray diffraction pattern, Cu Kα X-rays. Input: a crystal structure in Alexandria, relaxed with PBE.

Structure:
Cell lengths 4.834, 21.202, 6.322 Å; angles 90.00, 90.00, 90.00 degrees
Space group Cmc2_1 (No. 36)
Asymmetric unit:
Pr 0.000 0.134 0.000 x4
In 0.000 0.070 0.518 x4
In 0.000 0.266 0.656 x4
In 0.000 0.313 0.155 x4
In 0.000 0.468 0.338 x4
Au 0.000 0.398 0.785 x4

Principal peaks in the range 2θ = 10–80°, sorted by position:
Position (°2θ)	I (rel.)	(hkl)
28.95	28	0 6 1
29.49	32	0 2 2
31.43	84	1 5 1
34.15	100	1 1 2
36.26	28	1 3 2
36.77	31	0 8 1
37.20	68	2 0 0
37.83	82	1 7 1
40.18	30	1 5 2
62.14	30	1 9 3